# Sm3HoErTh
Simulated X-ray powder pattern, copper Kα. Input: a structure optimized by DFT (PBE).
Kinematic intensities with the Lorentz-polarization factor, no thermal factor.

Structure:
```
12
Lattice="11.0205 -2.7417 0.0000 11.0205 2.7417 0.0000 -1.1325 0.0000 6.7142" Properties=species:S:1:pos:R:3 pbc="T T T"
Sm 0.2695 0.0000 1.8197
Sm 5.8558 0.0000 1.3175
Sm 6.5981 0.0000 4.9769
Sm 14.3105 0.0000 1.7373
Sm 15.0527 0.0000 5.3967
Sm 20.6391 0.0000 4.8946
Ho 1.8213 0.0000 6.4143
Ho 19.0873 0.0000 0.2999
Er 3.1147 0.0000 3.4996
Er 17.7939 0.0000 3.2147
Th 9.1559 0.0000 2.2154
Th 11.7526 0.0000 4.4988
```

Largest 12 diffraction maxima, by angle, 10° ≤ 2θ ≤ 90°:
| two_theta | I (rel.) |
| --- | --- |
| 27.8 | 15 |
| 30.9 | 100 |
| 31.9 | 97 |
| 32.7 | 57 |
| 33.2 | 34 |
| 33.5 | 34 |
| 33.6 | 14 |
| 42.6 | 17 |
| 47.5 | 26 |
| 54.7 | 24 |
| 57.2 | 18 |
| 57.8 | 20 |


# BaLa2Tl
Simulated X-ray powder pattern, copper Kα. Input: a structure optimized by DFT (PBE).
Kinematic intensities with the Lorentz-polarization factor, no thermal factor.

Structure:
```
4
Lattice="-2.0338 3.0024 6.3647 2.0338 -3.0024 6.3647 2.0338 3.0024 -6.3647" Properties=species:S:1:pos:R:3 pbc="T T T"
Ba 0.0000 0.0000 0.0000
La 2.0338 0.0000 3.6502
La 0.0000 3.0024 2.7145
Tl 0.0000 0.0000 6.3647
```

Largest 12 diffraction maxima, by angle, 10° ≤ 2θ ≤ 90°:
| two_theta | I (rel.) |
| --- | --- |
| 16.3 | 11 |
| 28.0 | 22 |
| 29.8 | 28 |
| 30.0 | 100 |
| 30.4 | 8 |
| 38.4 | 8 |
| 41.3 | 16 |
| 44.5 | 9 |
| 50.9 | 10 |
| 53.0 | 20 |
| 54.5 | 10 |
| 62.4 | 9 |


# Pr2NdMg2In2
Simulated X-ray powder pattern, copper Kα. Input: a structure optimized by DFT (PBE).
Kinematic intensities with the Lorentz-polarization factor, no thermal factor.

Structure:
```
7
Lattice="2.5319 1.4618 9.1109 -2.5319 1.4618 9.1109 0.0000 -2.9235 9.1109" Properties=species:S:1:pos:R:3 pbc="T T T"
Pr 0.0000 0.0000 3.5411
Pr 0.0000 0.0000 23.7917
Nd 0.0000 0.0000 0.0000
Mg 0.0000 0.0000 10.9090
Mg 0.0000 0.0000 16.4238
In 0.0000 0.0000 7.2362
In 0.0000 0.0000 20.0966
```

Largest 12 diffraction maxima, by angle, 10° ≤ 2θ ≤ 90°:
| two_theta | I (rel.) |
| --- | --- |
| 20.5 | 59 |
| 30.7 | 83 |
| 33.2 | 87 |
| 35.5 | 100 |
| 47.6 | 24 |
| 49.4 | 28 |
| 60.7 | 23 |
| 62.3 | 28 |
| 62.8 | 35 |
| 63.7 | 18 |
| 84.6 | 12 |
| 85.1 | 15 |


# NaNdMg
Simulated X-ray powder pattern, copper Kα. Input: a structure optimized by DFT (PBE).
Kinematic intensities with the Lorentz-polarization factor, no thermal factor.

Structure:
```
6
Lattice="3.0479 -1.7598 0.0000 3.0479 1.7598 0.0000 -1.9105 0.0000 17.5392" Properties=species:S:1:pos:R:3 pbc="T T T"
Na 0.0000 0.0000 0.0000
Na 2.1052 0.0000 14.3074
Nd 0.0438 0.0000 11.1034
Nd 2.0696 0.0000 3.2031
Mg 0.0472 0.0000 5.9429
Mg 2.0683 0.0000 8.3677
```

Largest 12 diffraction maxima, by angle, 10° ≤ 2θ ≤ 90°:
| two_theta | I (rel.) |
| --- | --- |
| 10.1 | 100 |
| 20.3 | 17 |
| 25.4 | 13 |
| 29.4 | 32 |
| 30.1 | 16 |
| 30.5 | 38 |
| 30.6 | 11 |
| 33.9 | 29 |
| 34.1 | 13 |
| 34.8 | 11 |
| 35.0 | 22 |
| 52.0 | 16 |


# Pm2PbF8
Simulated X-ray powder pattern, copper Kα. Input: a structure optimized by DFT (PBE).
Kinematic intensities with the Lorentz-polarization factor, no thermal factor.

Structure:
```
11
Lattice="7.5596 -1.9272 0.0000 7.5596 1.9272 0.0000 -1.9811 0.0000 5.4622" Properties=species:S:1:pos:R:3 pbc="T T T"
Pm 2.3499 0.0000 1.0192
Pm 10.7883 0.0000 4.4430
Pb 6.5691 0.0000 2.7311
F 0.1018 0.0000 1.5856
F 1.5985 0.0000 4.5104
F 3.7278 0.0000 2.9440
F 5.9286 0.0000 0.2028
F 7.2096 0.0000 5.2593
F 9.4104 0.0000 2.5181
F 11.5397 0.0000 0.9517
F 13.0364 0.0000 3.8765
```

Largest 12 diffraction maxima, by angle, 10° ≤ 2θ ≤ 90°:
| two_theta | I (rel.) |
| --- | --- |
| 23.7 | 84 |
| 24.8 | 71 |
| 27.8 | 100 |
| 29.9 | 78 |
| 30.8 | 34 |
| 38.0 | 23 |
| 42.8 | 48 |
| 44.1 | 44 |
| 47.1 | 56 |
| 48.3 | 25 |
| 53.0 | 23 |
| 53.4 | 19 |


# Tb6Sm3Ho2Pb
Simulated X-ray powder pattern, copper Kα. Input: a structure optimized by DFT (PBE).
Kinematic intensities with the Lorentz-polarization factor, no thermal factor.

Structure:
```
12
Lattice="3.0742 -5.3305 0.0000 3.0742 5.3305 0.0000 -2.0769 0.0000 11.5174" Properties=species:S:1:pos:R:3 pbc="T T T"
Tb 0.9940 1.7468 2.8222
Tb -0.0432 0.0000 8.6688
Tb 0.9940 -1.7468 2.8222
Tb 3.0776 1.7468 8.6951
Tb 4.1148 0.0000 2.8486
Tb 3.0776 -1.7468 8.6951
Sm 2.0358 3.5388 5.7587
Sm 2.0358 0.0000 5.7587
Sm 2.0358 -3.5388 5.7587
Ho 3.0742 1.7643 0.0000
Ho 3.0742 -1.7643 0.0000
Pb 0.0000 0.0000 0.0000
```

Largest 12 diffraction maxima, by angle, 10° ≤ 2θ ≤ 90°:
| two_theta | I (rel.) |
| --- | --- |
| 30.9 | 100 |
| 31.1 | 33 |
| 35.8 | 67 |
| 51.5 | 24 |
| 51.7 | 24 |
| 61.2 | 14 |
| 61.3 | 19 |
| 61.4 | 9 |
| 61.5 | 9 |
| 64.3 | 12 |
| 84.0 | 8 |
| 86.7 | 7 |


# InCu2Ag
Simulated X-ray powder pattern, copper Kα. Input: a structure optimized by DFT (PBE).
Kinematic intensities with the Lorentz-polarization factor, no thermal factor.

Structure:
```
4
Lattice="-1.7159 2.1560 4.3210 1.7159 -2.1560 4.3210 1.7159 2.1560 -4.3210" Properties=species:S:1:pos:R:3 pbc="T T T"
In 0.0000 0.0000 0.0000
Cu 0.0000 0.0000 4.5403
Cu 0.0000 2.1560 2.0894
Ag 1.7159 0.0000 2.3430
```

Largest 12 diffraction maxima, by angle, 10° ≤ 2θ ≤ 90°:
| two_theta | I (rel.) |
| --- | --- |
| 28.0 | 7 |
| 37.5 | 7 |
| 39.5 | 100 |
| 41.9 | 41 |
| 53.4 | 10 |
| 59.9 | 3 |
| 60.7 | 12 |
| 70.1 | 16 |
| 74.8 | 11 |
| 74.9 | 14 |
| 75.8 | 3 |
| 85.1 | 9 |


# Y3Ni2Pt
Simulated X-ray powder pattern, copper Kα. Input: a structure optimized by DFT (PBE).
Kinematic intensities with the Lorentz-polarization factor, no thermal factor.

Structure:
```
24
Lattice="11.5002 0.0000 0.0000 0.0000 4.0134 0.0000 0.0000 0.0000 11.4040" Properties=species:S:1:pos:R:3 pbc="T T T"
Y 0.6314 1.0033 1.3864
Y 1.4052 3.0100 6.4200
Y 2.3650 1.0033 9.2889
Y 3.3851 3.0100 3.5868
Y 4.3449 1.0033 0.7180
Y 5.1188 3.0100 7.0885
Y 6.3815 1.0033 4.3156
Y 7.1554 3.0100 10.6860
Y 8.1151 1.0033 7.8172
Y 9.1352 3.0100 2.1152
Y 10.0950 1.0033 4.9840
Y 10.8689 3.0100 10.0176
Ni 0.0879 3.0100 3.4511
Ni 2.1069 3.0100 11.3679
Ni 3.6432 1.0033 5.6659
Ni 5.6622 1.0033 9.1531
Ni 5.8381 3.0100 2.2509
Ni 7.8570 3.0100 5.7382
Ni 9.3933 1.0033 0.0362
Ni 11.4123 1.0033 7.9529
Pt 1.4230 1.0033 4.2643
Pt 4.3271 3.0100 9.9664
Pt 7.1732 1.0033 1.4377
Pt 10.0772 3.0100 7.1397
```

Largest 12 diffraction maxima, by angle, 10° ≤ 2θ ≤ 90°:
| two_theta | I (rel.) |
| --- | --- |
| 10.9 | 51 |
| 17.3 | 78 |
| 27.1 | 24 |
| 31.4 | 44 |
| 32.4 | 100 |
| 36.0 | 98 |
| 39.4 | 52 |
| 40.0 | 19 |
| 41.9 | 59 |
| 42.6 | 18 |
| 45.2 | 46 |
| 46.3 | 27 |